Starting from a crystal structure in Alexandria, relaxed with PBE, the powder X-ray diffraction pattern of K3IF8 was computed for a wavelength of 1.5418 Å.
Neutral-atom scattering factors, no anomalous dispersion.

Most intense lines, 2θ from 5° to 70°, in order of falling intensity:
2θ 26.1, rel. 100.0, (1 1 1); 2θ 43.2, rel. 75.7, (2 2 0); 2θ 15.0, rel. 68.1, (1 0 0); 2θ 51.1, rel. 38.9, (3 1 1); 2θ 21.2, rel. 33.9, (1 1 0); 2θ 69.1, rel. 17.8, (3 3 1); 2θ 56.0, rel. 15.7, (3 2 0); 2θ 46.0, rel. 13.0, (2 2 1); 2θ 58.3, rel. 11.2, (3 2 1); 2θ 37.2, rel. 10.5, (2 1 1)

Atomic structure:
```
data_K3IF8
_cell_length_a 5.9231
_cell_length_b 5.9231
_cell_length_c 5.9231
_cell_angle_alpha 90.00
_cell_angle_beta 90.00
_cell_angle_gamma 90.00
_space_group_name_H-M_alt 'P m -3 m'
_space_group_IT_number 221
_space_group_name_Hall '-P 4 2 3'
loop_
_atom_site_label
_atom_site_fract_x
_atom_site_fract_y
_atom_site_fract_z
_atom_site_occupancy
K1 0.0000 0.0000 0.5000 1
I1 0.5000 0.5000 0.5000 1
F1 0.2903 0.2903 0.2903 1
```

***

Starting from a crystal structure in Alexandria, relaxed with PBE, the powder X-ray diffraction pattern of SbH2Ru was computed for a wavelength of 1.5418 Å.
Neutral-atom scattering factors, no anomalous dispersion.

Most intense lines, 2θ from 5° to 70°, in order of falling intensity:
2θ 37.6, rel. 100.0, (1 0 3); 2θ 15.6, rel. 80.5, (0 0 2); 2θ 30.1, rel. 39.5, (1 0 1); 2θ 41.5, rel. 38.0, (1 1 0); 2θ 49.8, rel. 23.2, (1 0 5); 2θ 44.6, rel. 22.6, (1 1 2); 2θ 65.2, rel. 18.0, (1 1 6); 2θ 60.2, rel. 12.9, (2 0 0); 2θ 47.9, rel. 11.3, (0 0 6); 2θ 62.6, rel. 7.9, (2 0 2)

Atomic structure:
```
data_SbH2Ru
_cell_length_a 3.0759
_cell_length_b 3.0759
_cell_length_c 11.3945
_cell_angle_alpha 90.00
_cell_angle_beta 90.00
_cell_angle_gamma 90.00
_space_group_name_H-M_alt 'I 4 m m'
_space_group_IT_number 107
_space_group_name_Hall 'I 4 -2'
loop_
_atom_site_label
_atom_site_fract_x
_atom_site_fract_y
_atom_site_fract_z
_atom_site_occupancy
Sb1 0.0000 0.0000 0.0000 1
H1 0.0000 0.5000 0.2303 1
Ru1 0.0000 0.0000 0.6494 1
```

***

Starting from a crystal structure in Alexandria, relaxed with PBE, the powder X-ray diffraction pattern of AcY2Er5 was computed for a wavelength of 1.5418 Å.
Neutral-atom scattering factors, no anomalous dispersion.

Most intense lines, 2θ from 5° to 70°, in order of falling intensity:
2θ 32.6, rel. 100.0, (2 2 2); 2θ 29.7, rel. 51.9, (1 4 0); 2θ 30.8, rel. 36.3, (4 0 0); 2θ 56.0, rel. 22.1, (6 2 2); 2θ 60.7, rel. 21.2, (4 6 2); 2θ 37.0, rel. 19.2, (3 2 2); 2θ 50.9, rel. 18.0, (0 6 2); 2θ 49.0, rel. 13.2, (5 4 0); 2θ 60.5, rel. 10.6, (4 0 4); 2θ 61.6, rel. 10.4, (2 4 4)

Atomic structure:
```
data_AcY2Er5
_cell_length_a 11.6037
_cell_length_b 12.4239
_cell_length_c 7.2040
_cell_angle_alpha 90.00
_cell_angle_beta 90.00
_cell_angle_gamma 90.00
_space_group_name_H-M_alt 'P b a m'
_space_group_IT_number 55
_space_group_name_Hall '-P 2 2ab'
loop_
_atom_site_label
_atom_site_fract_x
_atom_site_fract_y
_atom_site_fract_z
_atom_site_occupancy
Ac1 0.9998 0.2483 0.0000 1
Y1 0.0000 0.2490 0.5000 1
Y2 0.0000 0.5000 0.2549 1
Er1 0.0000 0.0000 0.2555 1
Er2 0.2491 0.0801 0.0000 1
Er3 0.2491 0.0821 0.5000 1
Er4 0.2501 0.3331 0.2556 1
```

***

Starting from a crystal structure in Alexandria, relaxed with PBE, the powder X-ray diffraction pattern of ZrNb2Pd9 was computed for a wavelength of 1.5418 Å.
Neutral-atom scattering factors, no anomalous dispersion.

Most intense lines, 2θ from 5° to 70°, in order of falling intensity:
2θ 39.0, rel. 100.0, (1 1 6); 2θ 45.8, rel. 31.6, (2 0 0); 2θ 65.8, rel. 20.5, (2 0 12); 2θ 44.5, rel. 16.8, (0 0 12); 2θ 66.7, rel. 10.0, (2 2 0)

Atomic structure:
```
data_ZrNb2Pd9
_cell_length_a 3.9639
_cell_length_b 3.9639
_cell_length_c 24.4110
_cell_angle_alpha 90.00
_cell_angle_beta 90.00
_cell_angle_gamma 90.00
_space_group_name_H-M_alt 'I 4/m m m'
_space_group_IT_number 139
_space_group_name_Hall '-I 4 2'
loop_
_atom_site_label
_atom_site_fract_x
_atom_site_fract_y
_atom_site_fract_z
_atom_site_occupancy
Zr1 0.0000 0.0000 0.0000 1
Nb1 0.0000 0.0000 0.3331 1
Pd1 0.0000 0.0000 0.1683 1
Pd2 0.0000 0.0000 0.5000 1
Pd3 0.0000 0.5000 0.0863 1
Pd4 0.0000 0.5000 0.2500 1
```

***

Starting from a crystal structure in Alexandria, relaxed with PBE, the powder X-ray diffraction pattern of SrLiCa2Au4 was computed for a wavelength of 1.5418 Å.
Neutral-atom scattering factors, no anomalous dispersion.

Most intense lines, 2θ from 5° to 70°, in order of falling intensity:
2θ 35.5, rel. 100.0, (1 1 0); 2θ 24.4, rel. 88.3, (1 0 4); 2θ 34.0, rel. 73.2, (0 1 8); 2θ 62.9, rel. 24.9, (1 2 8); 2θ 50.0, rel. 24.7, (2 0 8); 2θ 43.6, rel. 20.3, (0 2 4); 2θ 57.5, rel. 18.4, (2 1 4); 2θ 63.8, rel. 18.3, (3 0 0); 2θ 31.3, rel. 15.8, (1 0 7); 2θ 39.8, rel. 14.8, (1 0 10)

Atomic structure:
```
data_SrLiCa2Au4
_cell_length_a 5.0508
_cell_length_b 5.0508
_cell_length_c 26.4373
_cell_angle_alpha 90.00
_cell_angle_beta 90.00
_cell_angle_gamma 120.00
_space_group_name_H-M_alt 'R -3 m'
_space_group_IT_number 166
_space_group_name_Hall '-R 3 2"'
loop_
_atom_site_label
_atom_site_fract_x
_atom_site_fract_y
_atom_site_fract_z
_atom_site_occupancy
Sr1 0.0000 0.0000 0.0000 1
Li1 0.0000 0.0000 0.5000 1
Ca1 0.0000 0.0000 0.2372 1
Au1 0.0000 0.0000 0.1238 1
Au2 0.0000 0.0000 0.3942 1
```

***

Starting from a crystal structure in Alexandria, relaxed with PBE, the powder X-ray diffraction pattern of Pm3Al5Co2 was computed for a wavelength of 1.5418 Å.
Neutral-atom scattering factors, no anomalous dispersion.

Most intense lines, 2θ from 5° to 70°, in order of falling intensity:
2θ 36.3, rel. 100.0, (3 1 1); 2θ 22.0, rel. 63.4, (0 0 1); 2θ 28.5, rel. 58.7, (3 1 0); 2θ 33.9, rel. 44.2, (2 2 1); 2θ 37.5, rel. 42.1, (4 1 0); 2θ 30.0, rel. 34.5, (2 1 1); 2θ 54.1, rel. 30.7, (5 3 0); 2θ 44.9, rel. 29.5, (0 0 2); 2θ 39.7, rel. 25.1, (3 2 1); 2θ 25.5, rel. 25.0, (2 2 0)

Atomic structure:
```
data_Pm3Al5Co2
_cell_length_a 9.8913
_cell_length_b 9.8913
_cell_length_c 4.0344
_cell_angle_alpha 90.00
_cell_angle_beta 90.00
_cell_angle_gamma 90.00
_space_group_name_H-M_alt 'P 4/m b m'
_space_group_IT_number 127
_space_group_name_Hall '-P 4 2ab'
loop_
_atom_site_label
_atom_site_fract_x
_atom_site_fract_y
_atom_site_fract_z
_atom_site_occupancy
Pm1 0.0000 0.0000 0.0000 1
Pm2 0.1786 0.3214 0.0000 1
Al1 0.0000 0.5000 0.5000 1
Al2 0.0676 0.7643 0.5000 1
Co1 0.1124 0.6124 0.0000 1
```

***

Starting from a crystal structure in Alexandria, relaxed with PBE, the powder X-ray diffraction pattern of Pd3N was computed for a wavelength of 1.5418 Å.
Neutral-atom scattering factors, no anomalous dispersion.

Most intense lines, 2θ from 5° to 70°, in order of falling intensity:
2θ 39.8, rel. 100.0, (1 1 1); 2θ 37.4, rel. 24.4, (0 0 2); 2θ 35.0, rel. 20.1, (1 1 0); 2θ 69.1, rel. 19.0, (1 1 3); 2θ 62.7, rel. 18.1, (3 0 0); 2θ 52.2, rel. 17.2, (1 1 2); 2θ 27.3, rel. 0.6, (1 0 1)

Atomic structure:
```
data_Pd3N
_cell_length_a 5.1308
_cell_length_b 5.1308
_cell_length_c 4.8063
_cell_angle_alpha 90.00
_cell_angle_beta 90.00
_cell_angle_gamma 120.00
_space_group_name_H-M_alt 'P 63 2 2'
_space_group_IT_number 182
_space_group_name_Hall 'P 6c 2c'
loop_
_atom_site_label
_atom_site_fract_x
_atom_site_fract_y
_atom_site_fract_z
_atom_site_occupancy
Pd1 0.0000 0.3317 0.0000 1
N1 0.3333 0.6667 0.2500 1
```

***

Starting from a crystal structure in Alexandria, relaxed with PBE, the powder X-ray diffraction pattern of Ac4Sn was computed for a wavelength of 1.5418 Å.
Neutral-atom scattering factors, no anomalous dispersion.

Most intense lines, 2θ from 5° to 70°, in order of falling intensity:
2θ 29.9, rel. 100.0, (1 5 1); 2θ 29.6, rel. 91.3, (2 2 2); 2θ 28.7, rel. 76.5, (4 2 0); 2θ 28.2, rel. 66.1, (3 3 1); 2θ 27.6, rel. 59.2, (2 0 2); 2θ 52.6, rel. 25.1, (5 7 1); 2θ 46.2, rel. 24.5, (1 5 3); 2θ 44.5, rel. 23.6, (3 7 1); 2θ 57.4, rel. 23.4, (3 7 3); 2θ 47.6, rel. 23.3, (6 0 2)

Atomic structure:
```
data_Ac4Sn
_cell_length_a 13.4014
_cell_length_b 16.8633
_cell_length_c 7.3654
_cell_angle_alpha 90.00
_cell_angle_beta 90.00
_cell_angle_gamma 90.00
_space_group_name_H-M_alt 'F d d 2'
_space_group_IT_number 43
_space_group_name_Hall 'F 2 -2d'
loop_
_atom_site_label
_atom_site_fract_x
_atom_site_fract_y
_atom_site_fract_z
_atom_site_occupancy
Ac1 0.0724 0.3066 0.0000 1
Ac2 0.0728 0.3877 0.5275 1
Sn1 0.0000 0.0000 0.4190 1
```

***

Starting from a crystal structure in Alexandria, relaxed with PBE, the powder X-ray diffraction pattern of La3Sm4Ho3 was computed for a wavelength of 1.5418 Å.
Neutral-atom scattering factors, no anomalous dispersion.

Most intense lines, 2θ from 5° to 70°, in order of falling intensity:
2θ 31.5, rel. 100.0, (1 3 1); 2θ 29.5, rel. 57.2, (0 4 2); 2θ 57.2, rel. 26.6, (2 4 2); 2θ 30.0, rel. 26.2, (1 2 2); 2θ 54.6, rel. 14.5, (1 6 4); 2θ 45.8, rel. 12.0, (1 3 5); 2θ 47.9, rel. 11.1, (2 0 0); 2θ 38.8, rel. 8.8, (0 3 5); 2θ 57.3, rel. 8.3, (1 3 7); 2θ 13.1, rel. 7.0, (0 0 2)

Atomic structure:
```
data_La3Sm4Ho3
_cell_length_a 3.8005
_cell_length_b 13.5550
_cell_length_c 13.4981
_cell_angle_alpha 90.00
_cell_angle_beta 90.00
_cell_angle_gamma 90.00
_space_group_name_H-M_alt 'A m m 2'
_space_group_IT_number 38
_space_group_name_Hall 'A 2 -2'
loop_
_atom_site_label
_atom_site_fract_x
_atom_site_fract_y
_atom_site_fract_z
_atom_site_occupancy
La1 0.0000 0.0000 0.0000 1
La2 0.5000 0.2446 0.4197 1
Sm1 0.5000 0.0000 0.5446 1
Sm2 0.5000 0.0000 0.7943 1
Sm3 0.5000 0.1277 0.1752 1
Ho1 0.0000 0.0000 0.3430 1
Ho2 0.0000 0.1699 0.6699 1
```

***

Starting from a crystal structure in Alexandria, relaxed with PBE, the powder X-ray diffraction pattern of SrSm3Bi2 was computed for a wavelength of 1.5418 Å.
Neutral-atom scattering factors, no anomalous dispersion.

Most intense lines, 2θ from 5° to 70°, in order of falling intensity:
2θ 33.3, rel. 100.0, (1 1 -3); 2θ 30.4, rel. 92.8, (5 1 -1); 2θ 39.2, rel. 65.6, (0 2 0); 2θ 32.0, rel. 58.3, (6 0 -3); 2θ 29.2, rel. 56.9, (1 1 2); 2θ 35.3, rel. 52.7, (5 1 -3); 2θ 33.7, rel. 52.1, (4 0 2); 2θ 26.1, rel. 46.7, (1 1 -2); 2θ 32.3, rel. 36.9, (5 1 0); 2θ 27.0, rel. 33.4, (3 1 -2)

Atomic structure:
```
data_SrSm3Bi2
_cell_length_a 19.1751
_cell_length_b 4.5950
_cell_length_c 10.3126
_cell_angle_alpha 90.00
_cell_angle_beta 115.28
_cell_angle_gamma 90.00
_space_group_name_H-M_alt 'C 1 2/m 1'
_space_group_IT_number 12
_space_group_name_Hall '-C 2y'
loop_
_atom_site_label
_atom_site_fract_x
_atom_site_fract_y
_atom_site_fract_z
_atom_site_occupancy
Sr1 0.1100 0.0000 0.1145 1
Sm1 0.0576 0.0000 0.6693 1
Sm2 0.1454 0.5000 0.4769 1
Sm3 0.1893 0.5000 0.8825 1
Bi1 0.0078 0.5000 0.8291 1
Bi2 0.2440 0.0000 0.7087 1
```

***

Starting from a crystal structure in Alexandria, relaxed with PBE, the powder X-ray diffraction pattern of Nd4Cu2Pt was computed for a wavelength of 1.5418 Å.
Neutral-atom scattering factors, no anomalous dispersion.

Most intense lines, 2θ from 5° to 70°, in order of falling intensity:
2θ 35.3, rel. 100.0, (0 1 8); 2θ 35.6, rel. 99.1, (1 1 0); 2θ 63.8, rel. 35.5, (1 2 8); 2θ 51.0, rel. 35.0, (2 0 8); 2θ 10.6, rel. 21.9, (0 0 3); 2θ 24.9, rel. 18.9, (1 0 4); 2θ 20.6, rel. 18.2, (1 0 1); 2θ 63.9, rel. 17.8, (3 0 0); 2θ 63.3, rel. 17.6, (1 0 16); 2θ 27.1, rel. 10.8, (0 1 5)

Atomic structure:
```
data_Nd4Cu2Pt
_cell_length_a 5.0432
_cell_length_b 5.0432
_cell_length_c 24.9760
_cell_angle_alpha 90.00
_cell_angle_beta 90.00
_cell_angle_gamma 120.00
_space_group_name_H-M_alt 'R -3 m'
_space_group_IT_number 166
_space_group_name_Hall '-R 3 2"'
loop_
_atom_site_label
_atom_site_fract_x
_atom_site_fract_y
_atom_site_fract_z
_atom_site_occupancy
Nd1 0.0000 0.0000 0.1245 1
Nd2 0.0000 0.0000 0.3749 1
Cu1 0.0000 0.0000 0.2447 1
Pt1 0.0000 0.0000 0.0000 1
```

***

Starting from a crystal structure in Alexandria, relaxed with PBE, the powder X-ray diffraction pattern of PrAl8Co4 was computed for a wavelength of 1.5418 Å.
Neutral-atom scattering factors, no anomalous dispersion.

Most intense lines, 2θ from 5° to 70°, in order of falling intensity:
2θ 40.9, rel. 100.0, (2 0 2); 2θ 41.9, rel. 65.9, (4 0 0); 2θ 41.7, rel. 65.4, (3 2 1); 2θ 29.0, rel. 50.5, (2 1 1); 2θ 29.3, rel. 41.2, (2 2 0); 2θ 35.8, rel. 39.0, (3 0 1); 2θ 20.1, rel. 36.1, (1 0 1); 2θ 60.0, rel. 35.4, (4 2 2); 2θ 14.5, rel. 33.6, (1 1 0); 2θ 46.3, rel. 23.9, (2 2 2)

Atomic structure:
```
data_PrAl8Co4
_cell_length_a 8.6218
_cell_length_b 8.6218
_cell_length_c 5.1307
_cell_angle_alpha 90.00
_cell_angle_beta 90.00
_cell_angle_gamma 90.00
_space_group_name_H-M_alt 'I 4/m m m'
_space_group_IT_number 139
_space_group_name_Hall '-I 4 2'
loop_
_atom_site_label
_atom_site_fract_x
_atom_site_fract_y
_atom_site_fract_z
_atom_site_occupancy
Pr1 0.0000 0.0000 0.0000 1
Al1 0.0000 0.2251 0.5000 1
Al2 0.0000 0.3420 0.0000 1
Co1 0.2500 0.2500 0.2500 1
```

***

Starting from a crystal structure in Alexandria, relaxed with PBE, the powder X-ray diffraction pattern of Ce2PaTcN5 was computed for a wavelength of 1.5418 Å.
Neutral-atom scattering factors, no anomalous dispersion.

Most intense lines, 2θ from 5° to 70°, in order of falling intensity:
2θ 31.6, rel. 100.0, (2 0 1); 2θ 30.5, rel. 44.6, (0 0 2); 2θ 54.8, rel. 37.2, (2 0 3); 2θ 34.6, rel. 37.2, (2 1 1); 2θ 24.7, rel. 29.3, (1 1 1); 2θ 44.0, rel. 24.7, (2 1 2); 2θ 39.5, rel. 24.0, (2 2 0); 2θ 50.7, rel. 21.4, (2 2 2); 2θ 44.4, rel. 18.8, (3 1 0); 2θ 59.4, rel. 17.9, (4 0 1)

Atomic structure:
```
data_Ce2PaTcN5
_cell_length_a 6.4562
_cell_length_b 6.4562
_cell_length_c 5.8705
_cell_angle_alpha 90.00
_cell_angle_beta 90.00
_cell_angle_gamma 90.00
_space_group_name_H-M_alt 'P 4/m b m'
_space_group_IT_number 127
_space_group_name_Hall '-P 4 2ab'
loop_
_atom_site_label
_atom_site_fract_x
_atom_site_fract_y
_atom_site_fract_z
_atom_site_occupancy
Ce1 0.1654 0.3346 0.0000 1
Pa1 0.0000 0.0000 0.5000 1
Tc1 0.0000 0.5000 0.5000 1
N1 0.0000 0.0000 0.0000 1
N2 0.1603 0.6603 0.2738 1
```